[1]
# MgSi2Pt7Pb2
Simulated powder diffractogram, Cu Ka. Input: a structure optimized by DFT (PBE).
Intensities are scaled so that the largest is 100.

Peak list (10 most intense, 5° ≤ 2θ ≤ 70°, in order of falling intensity)
2θ (°)  Rel. int.  index
32.57  100  2 0 0
45.89  80  2 2 -1
36.79  76  0 2 3
23.71  71  0 0 4
44.23  58  2 0 4
40.15  33  1 1 5
34.22  30  2 0 -3
36.89  25  2 0 -4
11.79  24  0 0 2
30.75  20  1 1 3

Cell: 5.589 5.597 15.263 Å, 90.00 100.37 90.00°
Space group C2/m (No. 12)
Unique sites:
Mg 0.000 0.000 0.000 (multiplicity 2)
Si 0.111 0.500 0.228 (multiplicity 4)
Pt 0.000 0.500 0.000 (multiplicity 2)
Pt 0.182 0.250 0.862 (multiplicity 8)
Pt 0.191 0.500 0.382 (multiplicity 4)
Pb 0.208 0.000 0.417 (multiplicity 4)

***

[2]
# Tb4DyTl4
Simulated powder diffractogram, Cu Ka. Input: a structure optimized by DFT (PBE).
Intensities are scaled so that the largest is 100.

Peak list (10 most intense, 5° ≤ 2θ ≤ 70°, in order of falling intensity)
2θ (°)  Rel. int.  index
30.15  100  3 1 0
36.94  80  2 1 2
32.33  70  3 0 1
37.73  66  2 3 1
31.41  61  1 0 2
30.85  47  2 2 1
33.75  27  1 3 1
62.18  26  0 0 4
58.08  24  5 0 2
65.65  23  5 4 1

Cell: 9.374 9.374 5.978 Å, 90.00 90.00 90.00°
Space group P4_2/n (No. 86, origin choice 2)
Unique sites:
Tb 0.088 0.826 0.129 (multiplicity 8)
Dy 0.250 0.250 0.750 (multiplicity 2)
Tl 0.042 0.148 0.363 (multiplicity 8)

***

[3]
# Na15Sn
Simulated powder diffractogram, Cu Ka. Input: a structure optimized by DFT (PBE).
Intensities are scaled so that the largest is 100.

Peak list (10 most intense, 5° ≤ 2θ ≤ 70°, in order of falling intensity)
2θ (°)  Rel. int.  index
31.99  100  2 0 2
15.84  30  1 0 1
7.42  29  0 0 1
28.16  26  2 0 0
30.00  25  0 0 4
13.97  21  1 0 0
59.28  20  2 2 4
54.53  19  2 0 6
49.85  18  2 2 0
41.61  18  2 0 4

Cell: 7.3177 7.3177 11.9163 Å, 90.00 90.00 120.00°
Space group P-6m2 (No. 187)
Unique sites:
Na 0.0000 0.0000 0.0000 (multiplicity 1)
Na 0.0048 0.5024 0.5000 (multiplicity 3)
Na 0.3211 0.1606 0.2654 (multiplicity 6)
Na 0.3333 0.6667 0.2404 (multiplicity 2)
Na 0.5031 0.0063 0.0000 (multiplicity 3)
Sn 0.0000 0.0000 0.5000 (multiplicity 1)

***

[4]
# ZnTe6O13
Simulated powder diffractogram, Cu Ka. Input: a structure optimized by DFT (PBE).
Intensities are scaled so that the largest is 100.

Peak list (10 most intense, 5° ≤ 2θ ≤ 70°, in order of falling intensity)
2θ (°)  Rel. int.  index
27.93  100  1 2 2
32.25  50  3 -1 4
27.53  37  0 0 6
46.51  24  4 1 0
45.99  24  1 2 8
54.90  24  5 -4 6
21.87  14  2 0 2
55.13  12  6 -2 2
54.43  12  3 -1 10
57.73  11  2 4 4

Cell: 10.3317 10.3317 19.4429 Å, 90.00 90.00 120.00°
Space group R-3 (No. 148, hexagonal axes)
Unique sites:
Zn 0.0000 0.0000 0.2428 (multiplicity 6)
Te 0.0609 0.8289 0.9073 (multiplicity 18)
Te 0.0838 0.8458 0.4042 (multiplicity 18)
O 0.0000 0.0000 0.4116 (multiplicity 6)
O 0.0032 0.7507 0.5525 (multiplicity 18)
O 0.0519 0.8555 0.8113 (multiplicity 18)
O 0.0539 0.8692 0.0719 (multiplicity 18)
O 0.0923 0.2049 0.3068 (multiplicity 18)

***

[5]
# Pr4P
Simulated powder diffractogram, Cu Ka. Input: a structure optimized by DFT (PBE).
Intensities are scaled so that the largest is 100.

Peak list (8 most intense, 5° ≤ 2θ ≤ 70°, in order of falling intensity)
2θ (°)  Rel. int.  index
27.31  100  1 1 1
31.64  64  2 0 0
45.35  47  2 2 0
53.75  46  3 1 1
56.34  16  2 2 2
66.07  8  4 0 0
15.67  1  1 0 0
22.23  1  1 1 0

Cell: 5.656 5.656 5.656 Å, 90.00 90.00 90.00°
Space group Pm-3m (No. 221)
Unique sites:
Pr 0.000 0.000 0.000 (multiplicity 1)
Pr 0.000 0.500 0.500 (multiplicity 3)
P 0.500 0.500 0.500 (multiplicity 1)

***

[6]
# Ce3Co2Si
Simulated powder diffractogram, Cu Ka. Input: a structure optimized by DFT (PBE).
Intensities are scaled so that the largest is 100.

Peak list (10 most intense, 5° ≤ 2θ ≤ 70°, in order of falling intensity)
2θ (°)  Rel. int.  index
32.71  100  1 1 2
41.54  44  1 1 4
30.12  35  1 0 3
41.32  32  0 2 0
42.39  30  2 0 0
41.92  28  0 1 5
29.26  28  1 1 0
21.56  22  0 1 1
60.69  20  2 2 0
61.14  18  2 1 5

Cell: 4.265 4.370 12.388 Å, 90.00 90.00 90.00°
Space group Immm (No. 71)
Unique sites:
Ce 0.000 0.000 0.000 (multiplicity 2)
Ce 0.000 0.500 0.320 (multiplicity 4)
Co 0.000 0.500 0.137 (multiplicity 4)
Si 0.000 0.000 0.500 (multiplicity 2)